[1]
Calculated X-ray powder pattern
Compound: TaBi3O7
Radiation: Cu Kα (λ = 1.5418 Å)
Structure: a DFT-relaxed cell (GGA-PBE, the Materials Project)

Largest 10 diffraction maxima, most intense first, 2θ from 10° to 80°:
d_spacing, two_theta, intensity
3.125, 28.6, 100.0
3.249, 27.5, 52.0
2.718, 33.0, 48.7
3.173, 28.1, 48.5
1.965, 46.2, 32.1
1.671, 55.0, 27.3
2.794, 32.0, 26.8
1.932, 47.0, 26.1
1.885, 48.3, 16.0
1.631, 56.4, 14.7

Atomic structure:
```
TaBi3O7
1.0
3.454 -1.885 0.000
3.454 1.885 0.000
-2.322 0.000 12.693
Ta Bi O
1 3 7
direct
0.000 0.000 0.000
0.207 0.207 0.769
0.457 0.457 0.509
0.702 0.702 0.232
0.136 0.136 0.524
0.268 0.268 0.964
0.376 0.376 0.319
0.513 0.513 0.692
0.615 0.615 0.040
0.906 0.906 0.847
0.986 0.986 0.154
```

=====

[2]
Calculated X-ray powder pattern
Compound: HfGe2
Radiation: Cu Kα (λ = 1.5418 Å)
Structure: a DFT-relaxed cell (GGA-PBE, the Materials Project)

Largest 10 diffraction maxima, most intense first, 2θ from 10° to 80°:
d_spacing, two_theta, intensity
2.373, 37.9, 100.0
2.493, 36.0, 19.1
3.384, 26.3, 18.9
1.920, 47.4, 15.0
1.897, 47.9, 14.5
2.083, 43.4, 11.8
2.360, 38.1, 11.7
3.042, 29.4, 10.0
1.349, 69.7, 9.4
1.521, 60.9, 8.2

Atomic structure:
```
HfGe2
1.0
3.839 0.000 0.000
0.000 14.957 0.000
0.000 0.000 3.794
Hf Ge
4 8
direct
0.000 0.104 0.250
0.000 0.896 0.750
0.500 0.396 0.750
0.500 0.604 0.250
0.000 0.250 0.750
0.000 0.439 0.250
0.000 0.561 0.750
0.000 0.750 0.250
0.500 0.061 0.750
0.500 0.250 0.250
0.500 0.750 0.750
0.500 0.939 0.250
```

=====

[3]
Calculated X-ray powder pattern
Compound: DyMn6Sn6
Radiation: Cu Kα (λ = 1.5418 Å)
Structure: a DFT-relaxed cell (GGA-PBE, the Materials Project)

Largest 10 diffraction maxima, most intense first, 2θ from 10° to 80°:
d_spacing, two_theta, intensity
2.728, 32.8, 100.0
2.334, 38.6, 87.1
2.093, 43.2, 45.0
2.536, 35.4, 44.6
1.316, 71.7, 36.0
1.364, 68.8, 29.2
2.363, 38.1, 27.2
2.254, 40.0, 23.9
2.020, 44.9, 23.2
1.487, 62.5, 21.2

Atomic structure:
```
DyMn6Sn6
1.0
5.456 0.000 0.000
-2.728 4.725 0.000
0.000 0.000 9.015
Dy Mn Sn
1 6 6
direct
0.000 0.000 0.000
0.000 0.500 0.249
0.000 0.500 0.751
0.500 0.000 0.249
0.500 0.000 0.751
0.500 0.500 0.249
0.500 0.500 0.751
0.000 0.000 0.333
0.000 0.000 0.667
0.333 0.667 0.000
0.333 0.667 0.500
0.667 0.333 0.000
0.667 0.333 0.500
```

=====

[4]
Calculated X-ray powder pattern
Compound: TbGa2
Radiation: Cu Kα (λ = 1.5418 Å)
Structure: a DFT-relaxed cell (GGA-PBE, the Materials Project)

Largest 10 diffraction maxima, most intense first, 2θ from 10° to 80°:
d_spacing, two_theta, intensity
2.739, 32.7, 100.0
2.111, 42.8, 41.2
1.477, 62.9, 25.9
1.672, 54.9, 22.8
1.311, 72.1, 20.0
3.656, 24.3, 13.8
2.068, 43.8, 12.9
1.290, 73.4, 9.5
1.219, 78.5, 6.8
1.800, 50.7, 3.9

Atomic structure:
```
TbGa2
1.0
4.222 0.000 0.000
-2.111 3.656 0.000
0.000 0.000 4.135
Tb Ga
1 2
direct
0.000 0.000 0.000
0.333 0.667 0.500
0.667 0.333 0.500
```

=====

[5]
Calculated X-ray powder pattern
Compound: Ga2HgTe4
Radiation: Cu Kα (λ = 1.5418 Å)
Structure: a DFT-relaxed cell (GGA-PBE, the Materials Project)

Largest 10 diffraction maxima, most intense first, 2θ from 10° to 80°:
d_spacing, two_theta, intensity
3.567, 25.0, 100.0
2.170, 41.6, 46.8
1.882, 48.4, 30.9
2.215, 40.7, 25.8
1.827, 49.9, 14.8
1.270, 74.7, 14.5
1.409, 66.3, 12.6
2.779, 32.2, 11.9
2.729, 32.8, 11.6
4.431, 20.0, 9.4

Atomic structure:
```
Ga2HgTe4
1.0
6.266 0.000 0.000
0.000 6.266 0.000
0.000 0.000 12.031
Ga Hg Te
4 2 8
direct
0.000 0.000 0.000
0.000 0.500 0.250
0.500 0.000 0.750
0.500 0.500 0.500
0.000 0.000 0.500
0.500 0.500 0.000
0.224 0.753 0.861
0.247 0.224 0.139
0.253 0.276 0.639
0.276 0.747 0.361
0.724 0.253 0.361
0.747 0.724 0.639
0.753 0.776 0.139
0.776 0.247 0.861
```

=====

[6]
Calculated X-ray powder pattern
Compound: KLaEuSbO6
Radiation: Cu Kα (λ = 1.5418 Å)
Structure: a DFT-relaxed cell (GGA-PBE, the Materials Project)

Largest 10 diffraction maxima, most intense first, 2θ from 10° to 80°:
d_spacing, two_theta, intensity
2.988, 29.9, 100.0
1.725, 53.1, 39.8
2.113, 42.8, 31.4
1.494, 62.1, 19.1
1.336, 70.5, 17.6
4.880, 18.2, 11.8
4.226, 21.0, 11.7
2.549, 35.2, 7.7
1.220, 78.4, 6.3
1.890, 48.1, 4.9

Atomic structure:
```
KLaEuSbO6
1.0
0.000 4.226 4.226
4.226 0.000 4.226
4.226 4.226 0.000
K La Eu Sb O
1 1 1 1 6
direct
0.000 0.000 0.000
0.500 0.500 0.500
0.250 0.250 0.250
0.750 0.750 0.750
0.515 0.515 0.985
0.515 0.985 0.515
0.515 0.985 0.985
0.985 0.515 0.515
0.985 0.515 0.985
0.985 0.985 0.515
```